[1]
Starting from a cell relaxed with PBE, the XRD peak list of AcTl2Hg8 was computed for copper Kα.

Top 10 peaks for 2θ = 5–70°, by intensity:
Position (°2θ)  intensity  (hkl)
32.9  100.0  1 5 -1
31.2  96.7  3 1 -1
29.6  67.7  0 4 1
30.9  56.4  1 3 1
30.3  48.1  2 4 0
34.8  39.2  2 0 1
63.9  32.4  6 0 -2
38.7  26.7  1 1 -2
36.0  22.2  3 3 0
38.4  20.9  2 0 -2

abc: 9.060 16.682 4.745
angles: 90.00 112.54 90.00
Space group C2/m (No. 12)
One atom of each set of equivalent atoms:
Ac: 0.000 0.000 0.000
Tl: 0.000 0.324 0.500
Hg: 0.000 0.205 0.000
Hg: 0.110 0.500 0.828
Hg: 0.205 0.117 0.647

---

[2]
Starting from a cell relaxed with PBE, the XRD peak list of Rb3UTe6 was computed for copper Kα.

Top 10 peaks for 2θ = 5–70°, by intensity:
Position (°2θ)  intensity  (hkl)
9.5  100.0  1 1 0
27.5  34.0  1 3 1
38.7  30.7  4 4 0
29.2  22.2  4 0 1
30.7  20.0  3 2 1
33.7  12.1  0 5 1
34.7  11.7  5 2 0
52.0  10.7  3 4 2
35.1  10.3  2 4 1
59.6  9.2  4 5 2

abc: 18.6394 18.6394 4.7015
angles: 90.00 90.00 120.00
Space group R3m (No. 160, hexagonal axes)
One atom of each set of equivalent atoms:
Rb: 0.0320 0.5160 0.0000
U: 0.0000 0.0000 0.2958
Te: 0.0668 0.1336 0.7925
Te: 0.1857 0.0928 0.2455